Tb2NpTc2C4: computed powder diffraction line list (Cu Kα X-rays), based on a cell relaxed with GGA-PBE.
Intensities are scaled so that the largest is 100.

The 8 most intense peaks (2θ = 5–70°), in order of rising 2θ:
27.16°, rel. 50.3
28.05°, rel. 46.7
30.83°, rel. 76.6
34.55°, rel. 100.0
36.89°, rel. 24.3
39.73°, rel. 36.0
40.40°, rel. 87.2
53.85°, rel. 36.0

Structure:
Unit cell a=6.7508 b=6.7508 c=6.1081 alpha=107.65 beta=107.65 gamma=29.21
Sites, in units of the cell vectors:
Tb 0.1344 0.1344 0.0360
Tb 0.8656 0.8656 0.9640
Np 0.0000 0.0000 0.5000
Tc 0.3239 0.3239 0.5011
Tc 0.6761 0.6761 0.4989
C 0.2286 0.2286 0.7294
C 0.4731 0.4731 0.7527
C 0.5269 0.5269 0.2473
C 0.7714 0.7714 0.2706

ThNpC: computed powder diffraction line list (Cu Kα X-rays), based on a cell relaxed with GGA-PBE.
Intensities are scaled so that the largest is 100.

The 8 most intense peaks (2θ = 5–70°), in order of rising 2θ:
28.41°, rel. 29.6
29.56°, rel. 19.9
32.89°, rel. 100.0
41.46°, rel. 21.2
52.44°, rel. 19.3
53.20°, rel. 25.3
60.71°, rel. 22.4
63.30°, rel. 15.9

Structure:
Unit cell a=3.4896 b=3.4896 c=6.2842 alpha=90.00 beta=90.00 gamma=120.00
Sites, in units of the cell vectors:
Th 0.0000 0.0000 0.0000
Np 0.3333 0.6667 0.5331
C 0.6667 0.3333 0.7487

NpUC: computed powder diffraction line list (Cu Kα X-rays), based on a cell relaxed with GGA-PBE.
Intensities are scaled so that the largest is 100.

The 8 most intense peaks (2θ = 5–70°), in order of rising 2θ:
19.75°, rel. 20.9
29.86°, rel. 28.1
36.06°, rel. 100.0
50.80°, rel. 35.2
53.01°, rel. 27.0
57.12°, rel. 8.3
65.79°, rel. 18.2
68.50°, rel. 7.8

Structure:
Unit cell a=3.4547 b=3.4547 c=4.4960 alpha=90.00 beta=90.00 gamma=120.00
Sites, in units of the cell vectors:
Np 0.0000 0.0000 0.0000
U 0.6667 0.3333 0.3475
C 0.3333 0.6667 0.6836

RbPC2O8: computed powder diffraction line list (Cu Kα X-rays), based on a cell relaxed with GGA-PBE.
Intensities are scaled so that the largest is 100.

The 8 most intense peaks (2θ = 5–70°), in order of rising 2θ:
21.79°, rel. 48.6
22.67°, rel. 81.0
24.53°, rel. 72.1
25.71°, rel. 86.1
30.80°, rel. 100.0
32.48°, rel. 73.1
42.09°, rel. 44.7
49.28°, rel. 33.2

Structure:
Unit cell a=4.3266 b=4.3266 c=8.1956 alpha=94.64 beta=94.64 gamma=65.18
Sites, in units of the cell vectors:
Rb 0.0000 0.0000 0.0000
P 0.0000 0.0000 0.5000
C 0.3684 0.3684 0.6649
C 0.6316 0.6316 0.3351
O 0.2328 0.2328 0.5324
O 0.2446 0.7340 0.6508
O 0.2660 0.7554 0.3492
O 0.3202 0.3202 0.8140
O 0.6798 0.6798 0.1860
O 0.7340 0.2446 0.6508
O 0.7554 0.2660 0.3492
O 0.7672 0.7672 0.4676